Starting from DFT lattice parameters and positions (PBE), the X-ray diffraction stick pattern of La3Nd3Sc was simulated for Cu Kα, 1.54184 Å.

Structure:
```
La3Nd3Sc
1.0
9.768 0.000 0.000
-4.884 8.460 0.000
0.000 0.000 5.864
La Nd Sc
6 6 2
Direct
0.053 0.806 0.250 La
0.194 0.247 0.250 La
0.247 0.053 0.750 La
0.753 0.947 0.250 La
0.806 0.753 0.750 La
0.947 0.194 0.750 La
0.098 0.614 0.750 Nd
0.386 0.484 0.750 Nd
0.484 0.098 0.250 Nd
0.516 0.902 0.750 Nd
0.614 0.516 0.250 Nd
0.902 0.386 0.250 Nd
0.333 0.667 0.250 Sc
0.667 0.333 0.750 Sc
```

The 10 most intense peaks (2θ = 15–90°), most intense first:
(hkl)	d (Å)	Rel. int.
1 2 1	2.807	100
0 0 2	2.932	25
1 2 0	3.197	24
4 1 2	1.562	23
1 2 3	1.668	21
4 1 0	1.846	20
2 4 1	1.542	16
1 2 2	2.161	16
7 0 1	1.184	13
4 1 4	1.148	8